For LaDyTlNi2, DFT lattice parameters and positions (PBE) gives the calculated powder diffractogram in this record (λ = 1.5418 Å (Cu Kα)).
No peak broadening, texture or thermal motion is included.

Structural model:
Lattice parameters (Å, degrees): 3.749 3.977 14.781 90.00 90.00 90.00
Positions (direct):
1 La 0.000 0.000 0.000
2 La 0.000 0.500 0.500
3 Dy 0.000 0.000 0.722
4 Dy 0.000 0.500 0.222
5 Tl 0.500 0.000 0.356
6 Tl 0.500 0.500 0.856
7 Ni 0.500 0.000 0.164
8 Ni 0.500 0.000 0.567
9 Ni 0.500 0.500 0.067
10 Ni 0.500 0.500 0.664

Peak list (10 most intense, 2θ = 10–90°, by angle)
28.9°, I 49; 33.4°, I 100; 34.1°, I 70; 36.5°, I 15; 37.9°, I 35; 45.6°, I 22; 48.6°, I 19; 55.0°, I 20; 58.1°, I 30; 63.2°, I 16

For BiMo4C3, DFT lattice parameters and positions (PBE) gives the calculated powder diffractogram in this record (λ = 1.5418 Å (Cu Kα)).
No peak broadening, texture or thermal motion is included.

Structural model:
Lattice parameters (Å, degrees): 3.192 3.192 24.382 90.00 90.00 120.00
Positions (direct):
1 Bi 0.333 0.667 0.250
2 Bi 0.667 0.333 0.750
3 Mo 0.000 0.000 0.143
4 Mo 0.000 0.000 0.357
5 Mo 0.000 0.000 0.643
6 Mo 0.000 0.000 0.857
7 Mo 0.333 0.667 0.053
8 Mo 0.333 0.667 0.447
9 Mo 0.667 0.333 0.553
10 Mo 0.667 0.333 0.947
11 C 0.000 0.000 0.000
12 C 0.000 0.000 0.500
13 C 0.333 0.667 0.606
14 C 0.333 0.667 0.894
15 C 0.667 0.333 0.106
16 C 0.667 0.333 0.394

Peak list (10 most intense, 2θ = 10–90°, by angle)
32.6°, I 58; 35.7°, I 73; 36.9°, I 42; 37.4°, I 100; 39.4°, I 57; 47.0°, I 18; 53.0°, I 23; 57.8°, I 44; 63.1°, I 17; 70.5°, I 43

For Ba3Zn2As4, DFT lattice parameters and positions (PBE) gives the calculated powder diffractogram in this record (λ = 1.5418 Å (Cu Kα)).
No peak broadening, texture or thermal motion is included.

Structural model:
Lattice parameters (Å, degrees): 8.810 8.810 7.303 112.16 112.16 29.61
Positions (direct):
1 Ba 0.000 0.000 0.000
2 Ba 0.144 0.144 0.585
3 Ba 0.856 0.856 0.415
4 Zn 0.329 0.329 0.037
5 Zn 0.671 0.671 0.963
6 As 0.206 0.206 0.165
7 As 0.489 0.489 0.320
8 As 0.511 0.511 0.680
9 As 0.794 0.794 0.835

Peak list (10 most intense, 2θ = 10–90°, by angle)
26.1°, I 75; 31.9°, I 83; 32.3°, I 100; 33.0°, I 36; 34.3°, I 42; 40.1°, I 46; 46.3°, I 21; 53.7°, I 22; 54.4°, I 26; 63.6°, I 23

For Zr2In2CuNi3, DFT lattice parameters and positions (PBE) gives the calculated powder diffractogram in this record (λ = 1.5418 Å (Cu Kα)).
No peak broadening, texture or thermal motion is included.

Structural model:
Lattice parameters (Å, degrees): 4.346 4.346 8.006 90.00 90.00 120.00
Positions (direct):
1 Zr 0.000 0.000 0.000
2 Zr 0.333 0.667 0.488
3 In 0.667 0.333 0.245
4 In 0.667 0.333 0.754
5 Cu 0.000 0.000 0.652
6 Ni 0.000 0.000 0.339
7 Ni 0.333 0.667 0.153
8 Ni 0.333 0.667 0.834

Peak list (10 most intense, 2θ = 10–90°, by angle)
22.2°, I 5; 32.7°, I 38; 41.5°, I 100; 51.7°, I 7; 53.8°, I 9; 60.2°, I 12; 63.1°, I 5; 70.2°, I 8; 75.6°, I 8; 75.8°, I 21

For Mg4Hg3, DFT lattice parameters and positions (PBE) gives the calculated powder diffractogram in this record (λ = 1.5418 Å (Cu Kα)).
No peak broadening, texture or thermal motion is included.

Structural model:
Lattice parameters (Å, degrees): 8.262 8.262 4.959 90.00 90.00 120.00
Positions (direct):
1 Mg 0.031 0.792 0.250
2 Mg 0.208 0.239 0.250
3 Mg 0.239 0.031 0.750
4 Mg 0.333 0.667 0.250
5 Mg 0.667 0.333 0.750
6 Mg 0.761 0.969 0.250
7 Mg 0.792 0.761 0.750
8 Mg 0.969 0.208 0.750
9 Hg 0.084 0.633 0.750
10 Hg 0.367 0.451 0.750
11 Hg 0.451 0.084 0.250
12 Hg 0.549 0.916 0.750
13 Hg 0.633 0.549 0.250
14 Hg 0.916 0.367 0.250

Peak list (10 most intense, 2θ = 10–90°, by angle)
12.4°, I 34; 21.8°, I 30; 24.9°, I 18; 28.1°, I 55; 33.1°, I 43; 36.2°, I 27; 37.9°, I 100; 49.9°, I 28; 66.3°, I 20; 71.4°, I 18

For Tm3PPb, DFT lattice parameters and positions (PBE) gives the calculated powder diffractogram in this record (λ = 1.5418 Å (Cu Kα)).
No peak broadening, texture or thermal motion is included.

Structural model:
Lattice parameters (Å, degrees): 6.724 6.724 7.299 90.00 90.00 120.00
Positions (direct):
1 Tm 0.000 0.500 0.239
2 Tm 0.000 0.500 0.761
3 Tm 0.500 0.000 0.239
4 Tm 0.500 0.000 0.761
5 Tm 0.500 0.500 0.239
6 Tm 0.500 0.500 0.761
7 P 0.333 0.667 0.500
8 P 0.667 0.333 0.500
9 Pb 0.000 0.000 0.223
10 Pb 0.000 0.000 0.777

Peak list (10 most intense, 2θ = 10–90°, by angle)
24.4°, I 51; 30.7°, I 94; 39.6°, I 100; 54.6°, I 22; 59.8°, I 24; 60.7°, I 26; 63.9°, I 12; 69.5°, I 19; 77.2°, I 13; 88.9°, I 10

For LuScI2O2, DFT lattice parameters and positions (PBE) gives the calculated powder diffractogram in this record (λ = 1.5418 Å (Cu Kα)).
No peak broadening, texture or thermal motion is included.

Structural model:
Lattice parameters (Å, degrees): 10.006 10.006 7.375 92.05 92.05 22.56
Positions (direct):
1 Lu 0.195 0.195 0.122
2 Lu 0.805 0.805 0.878
3 Sc 0.203 0.203 0.620
4 Sc 0.797 0.797 0.380
5 I 0.082 0.082 0.835
6 I 0.399 0.399 0.647
7 I 0.601 0.601 0.353
8 I 0.918 0.918 0.165
9 O 0.254 0.254 0.875
10 O 0.256 0.256 0.376
11 O 0.744 0.744 0.624
12 O 0.746 0.746 0.125

Peak list (10 most intense, 2θ = 10–90°, by angle)
15.3°, I 25; 26.2°, I 34; 29.0°, I 100; 29.8°, I 39; 30.9°, I 67; 32.3°, I 33; 36.1°, I 30; 41.8°, I 38; 46.4°, I 42; 56.8°, I 25

For Ag5BiO4, DFT lattice parameters and positions (PBE) gives the calculated powder diffractogram in this record (λ = 1.5418 Å (Cu Kα)).
No peak broadening, texture or thermal motion is included.

Structural model:
Lattice parameters (Å, degrees): 5.898 9.034 13.606 90.00 114.24 90.00
Positions (direct):
1 Ag 0.000 0.000 0.000
2 Ag 0.000 0.500 0.500
3 Ag 0.105 0.141 0.641
4 Ag 0.105 0.359 0.141
5 Ag 0.114 0.232 0.374
6 Ag 0.114 0.268 0.874
7 Ag 0.214 0.509 0.746
8 Ag 0.214 0.991 0.246
9 Ag 0.375 0.730 0.122
10 Ag 0.375 0.770 0.622
11 Ag 0.500 0.000 0.500
12 Ag 0.500 0.500 0.000
13 Ag 0.625 0.230 0.378
14 Ag 0.625 0.270 0.878
15 Ag 0.786 0.009 0.754
16 Ag 0.786 0.491 0.254
17 Ag 0.886 0.732 0.126
18 Ag 0.886 0.768 0.626
19 Ag 0.895 0.641 0.859
20 Ag 0.895 0.859 0.359
21 Bi 0.420 0.618 0.376
22 Bi 0.420 0.882 0.876
23 Bi 0.580 0.118 0.124
24 Bi 0.580 0.382 0.624
25 O 0.054 0.635 0.379
26 O 0.054 0.865 0.879
27 O 0.195 0.589 0.192
28 O 0.195 0.911 0.692
29 O 0.426 0.130 0.938
30 O 0.426 0.370 0.438
31 O 0.479 0.640 0.872
32 O 0.479 0.860 0.372
33 O 0.521 0.140 0.628
34 O 0.521 0.360 0.128
35 O 0.574 0.630 0.562
36 O 0.574 0.870 0.062
37 O 0.805 0.089 0.308
38 O 0.805 0.411 0.808
39 O 0.946 0.135 0.121
40 O 0.946 0.365 0.621

Peak list (10 most intense, 2θ = 10–90°, by angle)
28.6°, I 49; 29.0°, I 43; 33.1°, I 86; 33.4°, I 100; 33.8°, I 81; 34.5°, I 73; 34.8°, I 68; 35.1°, I 84; 35.5°, I 62; 36.4°, I 70

For Gd2ErGa3CuGe2, DFT lattice parameters and positions (PBE) gives the calculated powder diffractogram in this record (λ = 1.5418 Å (Cu Kα)).
No peak broadening, texture or thermal motion is included.

Structural model:
Lattice parameters (Å, degrees): 4.169 7.042 7.042 119.75 90.00 90.00
Positions (direct):
1 Gd 0.000 0.200 0.800
2 Gd 0.000 0.800 0.200
3 Er 0.000 0.600 0.600
4 Ga 0.500 0.202 0.436
5 Ga 0.500 0.436 0.202
6 Ga 0.500 0.967 0.967
7 Cu 0.000 0.206 0.206
8 Ge 0.500 0.535 0.864
9 Ge 0.500 0.864 0.535

Peak list (10 most intense, 2θ = 10–90°, by angle)
25.3°, I 16; 33.3°, I 100; 36.5°, I 64; 38.9°, I 13; 39.1°, I 23; 43.4°, I 24; 44.5°, I 14; 59.7°, I 14; 71.1°, I 12; 73.2°, I 10

For Ba4SmBe, DFT lattice parameters and positions (PBE) gives the calculated powder diffractogram in this record (λ = 1.5418 Å (Cu Kα)).
No peak broadening, texture or thermal motion is included.

Structural model:
Lattice parameters (Å, degrees): 11.957 12.439 4.140 90.00 90.00 90.00
Positions (direct):
1 Ba 0.000 0.244 0.000
2 Ba 0.000 0.756 0.000
3 Ba 0.206 0.500 0.500
4 Ba 0.294 0.000 0.500
5 Ba 0.500 0.256 0.000
6 Ba 0.500 0.744 0.000
7 Ba 0.706 0.000 0.500
8 Ba 0.794 0.500 0.500
9 Sm 0.000 0.000 0.500
10 Sm 0.500 0.500 0.500
11 Be 0.000 0.500 0.000
12 Be 0.500 0.000 0.000

Peak list (10 most intense, 2θ = 10–90°, by angle)
20.6°, I 42; 23.4°, I 34; 25.9°, I 100; 26.2°, I 26; 28.7°, I 40; 29.9°, I 33; 32.0°, I 30; 38.1°, I 23; 39.9°, I 39; 53.1°, I 25

For Hf3Pt, DFT lattice parameters and positions (PBE) gives the calculated powder diffractogram in this record (λ = 1.5418 Å (Cu Kα)).
No peak broadening, texture or thermal motion is included.

Structural model:
Lattice parameters (Å, degrees): 8.119 8.119 8.119 139.47 96.91 96.87
Positions (direct):
1 Hf 0.087 0.539 0.039
2 Hf 0.148 0.148 0.000
3 Hf 0.148 0.500 0.648
4 Hf 0.308 0.187 0.687
5 Hf 0.500 0.048 0.961
6 Hf 0.500 0.461 0.548
7 Hf 0.500 0.621 0.313
8 Hf 0.500 0.813 0.120
9 Hf 0.692 0.379 0.880
10 Hf 0.852 0.500 0.352
11 Hf 0.852 0.852 0.000
12 Hf 0.913 0.952 0.452
13 Pt 0.208 0.000 0.208
14 Pt 0.208 0.708 0.500
15 Pt 0.792 0.000 0.792
16 Pt 0.792 0.292 0.500

Peak list (10 most intense, 2θ = 10–90°, by angle)
34.0°, I 100; 35.4°, I 40; 37.3°, I 26; 38.0°, I 61; 39.8°, I 48; 42.8°, I 20; 48.3°, I 17; 54.3°, I 15; 70.3°, I 23; 77.6°, I 17

For Tb2TlCoCu, DFT lattice parameters and positions (PBE) gives the calculated powder diffractogram in this record (λ = 1.5418 Å (Cu Kα)).
No peak broadening, texture or thermal motion is included.

Structural model:
Lattice parameters (Å, degrees): 3.706 4.020 14.360 90.00 90.00 90.00
Positions (direct):
1 Tb 0.000 0.000 0.000
2 Tb 0.000 0.000 0.278
3 Tb 0.000 0.500 0.500
4 Tb 0.000 0.500 0.778
5 Tl 0.500 0.000 0.644
6 Tl 0.500 0.500 0.144
7 Co 0.500 0.000 0.843
8 Co 0.500 0.500 0.343
9 Cu 0.500 0.000 0.439
10 Cu 0.500 0.500 0.939

Peak list (10 most intense, 2θ = 10–90°, by angle)
29.0°, I 50; 33.5°, I 100; 34.8°, I 68; 37.6°, I 14; 38.5°, I 34; 45.1°, I 24; 49.2°, I 18; 56.1°, I 19; 58.2°, I 46; 64.1°, I 15

For CoNiMoPb, DFT lattice parameters and positions (PBE) gives the calculated powder diffractogram in this record (λ = 1.5418 Å (Cu Kα)).
No peak broadening, texture or thermal motion is included.

Structural model:
Lattice parameters (Å, degrees): 6.199 6.199 6.199 90.00 90.00 90.00
Positions (direct):
1 Co 0.000 0.000 0.000
2 Co 0.000 0.500 0.500
3 Co 0.500 0.000 0.500
4 Co 0.500 0.500 0.000
5 Ni 0.000 0.000 0.500
6 Ni 0.000 0.500 0.000
7 Ni 0.500 0.000 0.000
8 Ni 0.500 0.500 0.500
9 Mo 0.250 0.250 0.250
10 Mo 0.250 0.750 0.750
11 Mo 0.750 0.250 0.750
12 Mo 0.750 0.750 0.250
13 Pb 0.250 0.250 0.750
14 Pb 0.250 0.750 0.250
15 Pb 0.750 0.250 0.250
16 Pb 0.750 0.750 0.750

Peak list (10 most intense, 2θ = 10–90°, by angle)
24.9°, I 15; 28.8°, I 21; 41.2°, I 100; 48.7°, I 8; 51.0°, I 6; 59.7°, I 16; 65.6°, I 4; 67.6°, I 9; 75.1°, I 33; 89.4°, I 11